[1]
Simulated powder diffraction line list
Compound: ErAg3Ge3
Radiation: Cu Ka
Structure: a structure optimized by DFT (PBE)

Principal peaks in the range 10 to 90 degrees two-theta, most intense first:
Position (°2θ)  Rel. int.
31.0  100
48.2  58
25.2  42
51.7  25
84.5  17
73.4  16
58.4  16
44.4  15
76.2  15
61.5  14

```
data_ErAg3Ge3
_cell_length_a 7.0683
_cell_length_b 7.0683
_cell_length_c 7.0683
_cell_angle_alpha 90.00
_cell_angle_beta 90.00
_cell_angle_gamma 90.00
_symmetry_space_group_name_H-M 'P m -3 n'
_symmetry_Int_Tables_number 223
_symmetry_space_group_name_Hall '-P 4n 2 3'
loop_
_atom_site_label
_atom_site_type_symbol
_atom_site_fract_x
_atom_site_fract_y
_atom_site_fract_z
Er1 Er 0.0000 0.0000 0.0000
Ag1 Ag 0.0000 0.2500 0.5000
Ge1 Ge 0.0000 0.5000 0.2500
```



[2]
Simulated powder diffraction line list
Compound: ErAgGeS4
Radiation: Cu Ka
Structure: a structure optimized by DFT (PBE)

Principal peaks in the range 10 to 90 degrees two-theta, most intense first:
Position (°2θ)  Rel. int.
47.9  100
26.9  99
33.2  71
27.9  59
14.6  58
27.8  55
33.5  36
45.9  29
44.1  25
27.4  24

```
data_ErAgGeS4
_cell_length_a 7.3909
_cell_length_b 7.9049
_cell_length_c 10.7089
_cell_angle_alpha 90.00
_cell_angle_beta 90.00
_cell_angle_gamma 90.00
_symmetry_space_group_name_H-M 'I m m a'
_symmetry_Int_Tables_number 74
_symmetry_space_group_name_Hall '-I 2b 2'
loop_
_atom_site_label
_atom_site_type_symbol
_atom_site_fract_x
_atom_site_fract_y
_atom_site_fract_z
Er1 Er 0.0000 0.0000 0.0000
Ag1 Ag 0.2500 0.2500 0.2500
Ge1 Ge 0.0000 0.2500 0.6409
S1 S 0.0000 0.0042 0.7466
S2 S 0.2456 0.2500 0.5045
```



[3]
Simulated powder diffraction line list
Compound: Er4AgHg3
Radiation: Cu Ka
Structure: a structure optimized by DFT (PBE)

Principal peaks in the range 10 to 90 degrees two-theta, most intense first:
Position (°2θ)  Rel. int.
34.6  100
62.0  37
49.7  18
72.9  12
83.3  11
83.2  5
30.5  1
25.0  1
27.2  1
12.0  1

```
data_Er4AgHg3
_cell_length_a 3.6663
_cell_length_b 3.6663
_cell_length_c 14.6897
_cell_angle_alpha 90.00
_cell_angle_beta 90.00
_cell_angle_gamma 90.00
_symmetry_space_group_name_H-M 'P 4/m m m'
_symmetry_Int_Tables_number 123
_symmetry_space_group_name_Hall '-P 4 2'
loop_
_atom_site_label
_atom_site_type_symbol
_atom_site_fract_x
_atom_site_fract_y
_atom_site_fract_z
Er1 Er 0.0000 0.0000 0.1203
Er2 Er 0.0000 0.0000 0.3731
Ag1 Ag 0.5000 0.5000 0.0000
Hg1 Hg 0.5000 0.5000 0.2475
Hg2 Hg 0.5000 0.5000 0.5000
```



[4]
Simulated powder diffraction line list
Compound: Er2AgHg8
Radiation: Cu Ka
Structure: a structure optimized by DFT (PBE)

Principal peaks in the range 10 to 90 degrees two-theta, most intense first:
Position (°2θ)  Rel. int.
35.4  100
36.8  52
65.3  34
53.0  18
30.4  16
62.8  13
55.8  10
89.7  9
73.1  9
88.9  8

```
data_Er2AgHg8
_cell_length_a 4.8901
_cell_length_b 4.8901
_cell_length_c 11.1644
_cell_angle_alpha 90.00
_cell_angle_beta 90.00
_cell_angle_gamma 90.00
_symmetry_space_group_name_H-M 'P 4/m m m'
_symmetry_Int_Tables_number 123
_symmetry_space_group_name_Hall '-P 4 2'
loop_
_atom_site_label
_atom_site_type_symbol
_atom_site_fract_x
_atom_site_fract_y
_atom_site_fract_z
Er1 Er 0.0000 0.0000 0.1838
Ag1 Ag 0.0000 0.0000 0.5000
Hg1 Hg 0.0000 0.5000 0.0000
Hg2 Hg 0.0000 0.5000 0.3604
Hg3 Hg 0.5000 0.5000 0.1805
```